The following is a computed XRD peak list of ZnCoO2. It was derived from a PBE+U-relaxed structure, using a wavelength of 1.5418 Å.
Intensities are scaled so that the largest is 100.

Largest 10 diffraction maxima, by intensity, 2θ from 10° to 80°:
| Position (°2θ) | I (rel.) |
| --- | --- |
| 41.90 | 100 |
| 36.05 | 57 |
| 60.67 | 30 |
| 60.81 | 29 |
| 72.69 | 22 |
| 36.15 | 19 |
| 76.46 | 14 |
| 72.84 | 7 |
| 76.71 | 5 |
| 17.85 | 1 |

Structural model:
```
ZnCoO2
1.0
3.053 0.000 0.000
-1.526 2.644 0.000
0.000 0.000 14.908
Zn Co O
3 3 6
Direct
0.000 0.000 0.000
0.333 0.667 0.667
0.667 0.333 0.333
0.000 0.000 0.500
0.333 0.667 0.167
0.667 0.333 0.833
0.000 0.000 0.249
0.000 0.000 0.751
0.333 0.667 0.417
0.333 0.667 0.916
0.667 0.333 0.084
0.667 0.333 0.583
```

***

The following is a computed XRD peak list of ZnCo2O4. It was derived from a PBE+U-relaxed structure, using a wavelength of 1.5418 Å.
Intensities are scaled so that the largest is 100.

Largest 10 diffraction maxima, by intensity, 2θ from 10° to 80°:
| Position (°2θ) | I (rel.) |
| --- | --- |
| 33.30 | 100 |
| 42.72 | 39 |
| 45.83 | 32 |
| 37.03 | 24 |
| 64.45 | 18 |
| 37.17 | 18 |
| 57.76 | 17 |
| 41.64 | 16 |
| 60.43 | 15 |
| 64.58 | 15 |

Structural model:
```
ZnCo2O4
1.0
1.465 -4.837 0.000
1.465 4.837 0.000
0.000 0.000 9.708
Zn Co O
2 4 8
Direct
0.110 0.890 0.750
0.890 0.110 0.250
0.368 0.632 0.571
0.368 0.632 0.929
0.632 0.368 0.071
0.632 0.368 0.429
0.000 0.000 0.000
0.000 0.000 0.500
0.275 0.725 0.113
0.275 0.725 0.387
0.459 0.541 0.750
0.541 0.459 0.250
0.725 0.275 0.613
0.725 0.275 0.887
```

***

The following is a computed XRD peak list of ZnCo4O9. It was derived from a PBE+U-relaxed structure, using a wavelength of 1.5418 Å.
Intensities are scaled so that the largest is 100.

Largest 10 diffraction maxima, by intensity, 2θ from 10° to 80°:
| Position (°2θ) | I (rel.) |
| --- | --- |
| 30.47 | 100 |
| 34.52 | 75 |
| 18.25 | 58 |
| 23.86 | 55 |
| 30.55 | 34 |
| 28.44 | 29 |
| 49.67 | 27 |
| 44.67 | 25 |
| 49.56 | 25 |
| 62.62 | 22 |

Structural model:
```
ZnCo4O9
1.0
4.862 0.000 0.000
0.023 8.212 0.000
0.001 0.017 8.221
Zn Co O
2 8 18
Direct
0.000 0.000 0.000
0.208 0.500 0.501
0.491 0.285 0.091
0.492 0.913 0.286
0.493 0.717 0.913
0.495 0.089 0.718
0.717 0.413 0.787
0.718 0.217 0.414
0.718 0.589 0.218
0.718 0.785 0.590
0.046 0.433 0.731
0.047 0.272 0.435
0.047 0.728 0.569
0.048 0.569 0.272
0.163 0.933 0.230
0.164 0.228 0.069
0.164 0.772 0.935
0.166 0.069 0.773
0.542 0.396 0.294
0.542 0.606 0.711
0.553 0.293 0.608
0.554 0.710 0.396
0.598 0.001 0.502
0.611 0.501 0.002
0.657 0.793 0.107
0.661 0.208 0.897
0.667 0.107 0.212
0.670 0.895 0.793
```

***

The following is a computed XRD peak list of Zn3Co2O7. It was derived from a PBE+U-relaxed structure, using a wavelength of 1.5418 Å.
Intensities are scaled so that the largest is 100.

Largest 10 diffraction maxima, by intensity, 2θ from 10° to 80°:
| Position (°2θ) | I (rel.) |
| --- | --- |
| 35.31 | 100 |
| 35.52 | 53 |
| 63.71 | 24 |
| 63.25 | 23 |
| 51.11 | 22 |
| 50.49 | 15 |
| 63.59 | 14 |
| 74.69 | 11 |
| 59.80 | 8 |
| 29.05 | 7 |

Structural model:
```
Zn3Co2O7
1.0
9.038 -2.524 0.000
9.038 2.524 0.000
0.000 0.000 5.061
Zn Co O
6 4 14
Direct
0.035 0.571 0.596
0.247 0.753 0.500
0.429 0.965 0.596
0.571 0.035 0.096
0.753 0.247 0.000
0.965 0.429 0.096
0.150 0.648 0.046
0.352 0.850 0.046
0.648 0.150 0.546
0.850 0.352 0.546
0.005 0.146 0.235
0.054 0.349 0.486
0.146 0.005 0.735
0.301 0.441 0.356
0.349 0.054 0.986
0.370 0.630 0.115
0.441 0.301 0.856
0.559 0.699 0.356
0.630 0.370 0.615
0.651 0.946 0.486
0.699 0.559 0.856
0.854 0.995 0.235
0.946 0.651 0.986
0.995 0.854 0.735
```

***

Repeat the second record exactly.
The following is a computed XRD peak list of ZnCo2O4. It was derived from a PBE+U-relaxed structure, using a wavelength of 1.5418 Å.
Intensities are scaled so that the largest is 100.

Largest 10 diffraction maxima, by intensity, 2θ from 10° to 80°:
| Position (°2θ) | I (rel.) |
| --- | --- |
| 33.30 | 100 |
| 42.72 | 39 |
| 45.83 | 32 |
| 37.03 | 24 |
| 64.45 | 18 |
| 37.17 | 18 |
| 57.76 | 17 |
| 41.64 | 16 |
| 60.43 | 15 |
| 64.58 | 15 |

Structural model:
```
ZnCo2O4
1.0
1.465 -4.837 0.000
1.465 4.837 0.000
0.000 0.000 9.708
Zn Co O
2 4 8
Direct
0.110 0.890 0.750
0.890 0.110 0.250
0.368 0.632 0.571
0.368 0.632 0.929
0.632 0.368 0.071
0.632 0.368 0.429
0.000 0.000 0.000
0.000 0.000 0.500
0.275 0.725 0.113
0.275 0.725 0.387
0.459 0.541 0.750
0.541 0.459 0.250
0.725 0.275 0.613
0.725 0.275 0.887
```